Diffraction record for Li8TiMn3O12. The PXRD pattern is calculated, not measured: it uses the PBE+U geometry in Alexandria and a wavelength of 1.5418 Å.
Peak positions follow from Bragg's law for the DFT cell and can differ from measured ones.

Largest 10 diffraction maxima, by intensity, 15° ≤ 2θ ≤ 90°:
2theta, intensity, h k l
20.7, 100, 0 1 1
33.2, 35, 1 2 1
52.4, 34, 1 3 -2
41.1, 16, 1 3 -1
42.1, 14, 2 1 1
65.5, 12, 3 3 0
36.7, 11, 1 3 0
21.0, 9, 0 2 0
40.7, 9, 2 0 1
52.2, 8, 2 0 2

Structural model:
Lattice parameters (Å, degrees): 4.953 8.454 4.976 90.00 90.11 90.00
Element x y z (fractional)
Li  0.000  0.000  0.000
Li  0.000  0.022  0.500
Li  0.000  0.332  0.500
Li  0.000  0.692  0.000
Li  0.500  0.186  0.500
Li  0.500  0.498  0.500
Li  0.500  0.526  0.000
Li  0.500  0.839  0.000
Ti  0.000  0.669  0.500
Mn  0.000  0.349  0.000
Mn  0.500  0.172  0.000
Mn  0.500  0.854  0.500
O  0.138  0.510  0.755
O  0.175  0.187  0.786
O  0.179  0.839  0.717
O  0.326  0.337  0.215
O  0.329  0.690  0.282
O  0.349  0.014  0.251
O  0.651  0.014  0.749
O  0.671  0.690  0.718
O  0.674  0.337  0.785
O  0.821  0.839  0.283
O  0.825  0.187  0.214
O  0.862  0.510  0.245